# RbCe3
Calculated powder diffraction line list, Cu Ka. Input: a GGA-PBE-relaxed structure.

Peak list (10 most intense, 2θ = 10–80°, in order of rising 2θ)
hkl  Position (°2θ)  d [Å]  intensity
1 0 1  19.01  4.668  32
1 1 2  29.62  3.016  1000
0 0 4  34.20  2.622  171
2 0 0  34.41  2.606  336
2 0 4  49.30  1.848  241
2 2 0  49.45  1.843  120
1 1 6  58.43  1.579  145
3 1 2  58.71  1.573  285
2 2 4  61.50  1.508  124
4 0 0  72.53  1.303  38

Structure:
a = 5.213 Å, b = 5.213 Å, c = 10.488 Å
α = 90.00°, β = 90.00°, γ = 90.00°
Sites, in units of the cell vectors:
Rb 0.000 0.000 0.000
Rb 0.500 0.500 0.500
Ce 0.000 0.000 0.500
Ce 0.000 0.500 0.250
Ce 0.000 0.500 0.750
Ce 0.500 0.000 0.250
Ce 0.500 0.000 0.750
Ce 0.500 0.500 0.000